1.
Starting from a crystal structure in the Materials Project, relaxed with GGA-PBE, the powder diffractogram of ErPd3S4 was calculated for copper Kα.

The 8 most intense peaks (10 to 90 degrees two-theta), low angle first:
two_theta, I (rel.), (hkl)
29.83, 81, 2 1 0
32.76, 100, 2 1 1
49.05, 20, 3 2 0
51.03, 57, 3 2 1
54.84, 29, 4 0 0
63.68, 18, 4 2 1
78.18, 16, 5 2 1
81.27, 18, 4 4 0

```
data_ErPd3S4
_cell_length_a 6.6965
_cell_length_b 6.6965
_cell_length_c 6.6965
_cell_angle_alpha 90.00
_cell_angle_beta 90.00
_cell_angle_gamma 90.00
_symmetry_space_group_name_H-M 'P m -3 n'
_symmetry_Int_Tables_number 223
_symmetry_space_group_name_Hall '-P 4n 2 3'
loop_
_atom_site_label
_atom_site_type_symbol
_atom_site_fract_x
_atom_site_fract_y
_atom_site_fract_z
Er1 Er 0.0000 0.0000 0.0000
Pd1 Pd 0.0000 0.2500 0.5000
S1 S 0.2500 0.2500 0.2500
```


2.
Starting from a crystal structure in the Materials Project, relaxed with GGA-PBE, the powder diffractogram of ErSbPd was calculated for copper Kα.

The 8 most intense peaks (10 to 90 degrees two-theta), low angle first:
two_theta, I (rel.), (hkl)
23.46, 22, 1 1 1
27.16, 26, 2 0 0
38.79, 100, 2 2 0
45.83, 11, 3 1 1
56.02, 17, 4 0 0
63.34, 10, 4 2 0
70.22, 34, 4 2 2
83.23, 11, 4 4 0

```
data_ErSbPd
_cell_length_a 6.5668
_cell_length_b 6.5668
_cell_length_c 6.5668
_cell_angle_alpha 90.00
_cell_angle_beta 90.00
_cell_angle_gamma 90.00
_symmetry_space_group_name_H-M 'F -4 3 m'
_symmetry_Int_Tables_number 216
_symmetry_space_group_name_Hall 'F -4 2 3'
loop_
_atom_site_label
_atom_site_type_symbol
_atom_site_fract_x
_atom_site_fract_y
_atom_site_fract_z
Er1 Er 0.0000 0.0000 0.0000
Sb1 Sb 0.0000 0.0000 0.5000
Pd1 Pd 0.2500 0.2500 0.2500
```


3.
Starting from a crystal structure in the Materials Project, relaxed with GGA-PBE, the powder diffractogram of ErSnPd2 was calculated for copper Kα.

The 8 most intense peaks (10 to 90 degrees two-theta), low angle first:
two_theta, I (rel.), (hkl)
22.77, 2, 1 1 1
26.36, 2, 2 0 0
37.62, 100, 2 2 0
44.43, 1, 3 1 1
54.25, 17, 4 0 0
61.30, 1, 4 2 0
67.90, 35, 4 2 2
80.31, 11, 4 4 0

```
data_ErSnPd2
_cell_length_a 6.7630
_cell_length_b 6.7630
_cell_length_c 6.7630
_cell_angle_alpha 90.00
_cell_angle_beta 90.00
_cell_angle_gamma 90.00
_symmetry_space_group_name_H-M 'F m -3 m'
_symmetry_Int_Tables_number 225
_symmetry_space_group_name_Hall '-F 4 2 3'
loop_
_atom_site_label
_atom_site_type_symbol
_atom_site_fract_x
_atom_site_fract_y
_atom_site_fract_z
Er1 Er 0.0000 0.0000 0.0000
Sn1 Sn 0.0000 0.0000 0.5000
Pd1 Pd 0.2500 0.2500 0.2500
```